# LaMgCu2H6
Theoretical powder XRD pattern, copper Kα. Input: a PBE-relaxed structure.

Structural model:
Cell: 5.9994 5.9994 5.9994 Å, 45.66 45.66 45.66°
Atoms (fractional coordinates):
La 0.0000 0.0000 0.0000
Mg 0.5000 0.5000 0.5000
Cu 0.2194 0.2194 0.2194
Cu 0.7806 0.7806 0.7806
H 0.0894 0.5593 0.5593
H 0.4407 0.4407 0.9106
H 0.4407 0.9106 0.4407
H 0.5593 0.0894 0.5593
H 0.5593 0.5593 0.0894
H 0.9106 0.4407 0.4407

Most intense lines, 2θ from 15° to 90°, by angle:
2theta, d (Å), intensity
22.7, 3.911, 58
31.4, 2.848, 100
35.7, 2.515, 53
38.7, 2.328, 73
50.7, 1.802, 36
53.6, 1.708, 15
65.5, 1.425, 27
65.9, 1.418, 20
68.1, 1.377, 15
70.0, 1.344, 12